Ac3Ni3Pb: simulated PXRD pattern (Cu Kα), based on DFT lattice parameters and positions (GGA-PBE).
Intensities are scaled so that the largest is 100.

Principal peaks in the range 2θ = 10–90°, most intense first:
2θ/deg, d [Å], I (rel.), index
27.5, 3.244, 100, 1 1 1
29.8, 3.000, 75, 3 0 0
29.3, 3.051, 45, 2 0 1
41.0, 2.202, 43, 2 2 1
49.3, 1.849, 39, 2 3 1
34.1, 2.631, 34, 1 2 1
26.2, 3.401, 32, 1 2 0
53.7, 1.707, 30, 3 0 2
43.6, 2.076, 23, 0 0 2
36.0, 2.496, 18, 1 3 0
77.8, 1.228, 17, 3 5 1
55.7, 1.651, 15, 5 0 1

Atomic structure:
abc: 10.3917 10.3917 4.1519
angles: 90.00 90.00 120.00
Positions (direct):
Ac: 0.0513 0.6902 0.2500
Ac: 0.3098 0.3611 0.2500
Ac: 0.3611 0.0513 0.7500
Ac: 0.6389 0.9487 0.2500
Ac: 0.6902 0.6389 0.7500
Ac: 0.9487 0.3098 0.7500
Ni: 0.0163 0.8709 0.7500
Ni: 0.1291 0.1455 0.7500
Ni: 0.1455 0.0163 0.2500
Ni: 0.8545 0.9837 0.7500
Ni: 0.8709 0.8545 0.2500
Ni: 0.9837 0.1291 0.2500
Pb: 0.3333 0.6667 0.7500
Pb: 0.6667 0.3333 0.2500